For Nb10Ge7, a structure optimized by DFT (GGA-PBE) gives the computed X-ray powder pattern in this record (Cu Kα (λ = 1.5418 Å)).
Kinematic intensities with the Lorentz-polarization factor, no thermal factor.

Largest 10 diffraction maxima, sorted by position, 2θ = 15–90°:
- 33.0°, I = 11
- 34.9°, I = 16
- 38.8°, I = 84
- 39.8°, I = 72
- 40.4°, I = 100
- 51.3°, I = 15
- 58.0°, I = 23
- 61.9°, I = 13
- 62.8°, I = 17
- 82.9°, I = 15

Structural model:
```
Nb10Ge7
1.0
7.851 0.000 0.000
-3.925 6.799 0.000
0.000 0.000 5.428
Nb Ge
10 7
direct
0.000 0.263 0.272
0.000 0.737 0.728
0.263 0.000 0.272
0.263 0.263 0.728
0.333 0.667 0.000
0.333 0.667 0.500
0.667 0.333 0.000
0.667 0.333 0.500
0.737 0.000 0.728
0.737 0.737 0.272
0.000 0.000 0.000
0.000 0.391 0.753
0.000 0.609 0.247
0.391 0.000 0.753
0.391 0.391 0.247
0.609 0.000 0.247
0.609 0.609 0.753
```